Diffraction record for Ga3Cu. The X-ray diffraction stick pattern is theoretical, not measured: it uses a structure optimized by DFT (GGA-PBE) and Cu Kα (weighted mean of Kα1 and Kα2).

Crystal structure
Cell lengths 4.035, 4.035, 4.035 Å; angles 90.00, 90.00, 90.00 degrees
Space group Pm-3m (No. 221)
One atom of each set of equivalent atoms:
Ga  0.000  0.000  0.500
Cu  0.500  0.500  0.500

Largest 5 diffraction maxima, sorted by position, 10° ≤ 2θ ≤ 90°:
d_spacing  2θ/deg  intensity
2.330  38.65  100
2.018  44.93  48
1.427  65.41  30
1.217  78.63  34
1.165  82.87  10

***

Diffraction record for YH3C3O6. The X-ray diffraction stick pattern is theoretical, not measured: it uses a structure optimized by DFT (GGA-PBE) and Cu Kα (weighted mean of Kα1 and Kα2).

Crystal structure
Cell lengths 10.5013, 10.5013, 3.9951 Å; angles 90.00, 90.00, 120.00 degrees
Space group R3m (No. 160, hexagonal axes)
One atom of each set of equivalent atoms:
Y  0.0000  0.0000  0.0000
H  0.1720  0.3441  0.1941
C  0.0258  0.5129  0.1238
O  0.0842  0.1684  0.5071
O  0.2016  0.4032  0.6867

Largest 10 diffraction maxima, sorted by position, 10° ≤ 2θ ≤ 90°:
d_spacing  2θ/deg  intensity
5.251  16.89  100
3.658  24.33  24
3.001  29.77  42
2.625  34.15  43
2.606  34.42  47
2.133  42.38  32
1.985  45.72  12
1.976  45.93  15
1.951  46.55  21
1.849  49.27  24